[1]
Diffraction record for Li4Cd2Hg3. The X-ray powder pattern is simulated, not measured: it uses a structure optimized by DFT (GGA-PBE) and Cu Kα.
Intensities are scaled so that the largest is 100.

Structure:
```
data_Li4Cd2Hg3
_chemical_formula_sum 'Li4 Cd2 Hg3'
_cell_length_a 4.5650
_cell_length_b 4.8722
_cell_length_c 8.7955
_cell_angle_alpha 96.28
_cell_angle_beta 90.00
_cell_angle_gamma 117.93
_symmetry_space_group_name_H-M 'P -1'
_symmetry_Int_Tables_number 2
loop_
_symmetry_equiv_pos_as_xyz
'x,y,z'
'-x,-y,-z'
loop_
_atom_site_label
_atom_site_type_symbol
_atom_site_fract_x
_atom_site_fract_y
_atom_site_fract_z
_atom_site_occupancy
Li1 Li 0.0089 0.0161 0.3320 1
Li2 Li 0.3374 0.6732 0.1041 1
Cd1 Cd 0.3255 0.6527 0.7785 1
Hg1 Hg 0.0000 0.0000 0.0000 1
Hg2 Hg 0.3385 0.6761 0.4193 1
```

Peak list (6 most intense, 2θ = 15–90°, by angle)
23.79 deg, intensity 45
24.89 deg, intensity 58
27.35 deg, intensity 53
31.09 deg, intensity 66
37.05 deg, intensity 90
37.21 deg, intensity 100

***

[2]
Diffraction record for Li2LaTm2Sn2. The X-ray powder pattern is simulated, not measured: it uses a structure optimized by DFT (GGA-PBE) and Cu Kα.
Intensities are scaled so that the largest is 100.

Structure:
```
data_Li2LaTm2Sn2
_chemical_formula_sum 'Li6 La3 Tm6 Sn6'
_cell_length_a 4.8315
_cell_length_b 4.8315
_cell_length_c 26.8687
_cell_angle_alpha 90.00
_cell_angle_beta 90.00
_cell_angle_gamma 120.00
_symmetry_space_group_name_H-M 'R -3 m'
_symmetry_Int_Tables_number 166
_symmetry_space_group_name_Hall '-R 3 2"'
loop_
_atom_site_label
_atom_site_type_symbol
_atom_site_fract_x
_atom_site_fract_y
_atom_site_fract_z
_atom_site_occupancy
Li1 Li 0.0000 0.0000 0.0824 1
La1 La 0.0000 0.0000 0.5000 1
Tm1 Tm 0.0000 0.0000 0.3684 1
Sn1 Sn 0.0000 0.0000 0.2431 1
```

Peak list (6 most intense, 2θ = 15–90°, by angle)
21.49 deg, intensity 84
31.63 deg, intensity 71
34.24 deg, intensity 100
37.22 deg, intensity 92
51.46 deg, intensity 32
65.21 deg, intensity 32